Simulated powder XRD pattern
Compound: TeCl3
Radiation: Cu Kα (λ = 1.5418 Å)
Structure: a PBE-relaxed structure
Intensities are scaled so that the largest is 100.

Most intense lines, 10° ≤ 2θ ≤ 90°, sorted by position:
hkl 2 0 0, 2θ = 16.6°, d 5.352, I = 100; hkl 1 1 1, 2θ = 18.5°, d 4.791, I = 17; hkl 2 1 1, 2θ = 23.5°, d 3.783, I = 22; hkl 0 2 2, 2θ = 33.4°, d 2.681, I = 7; hkl 4 0 0, 2θ = 33.6°, d 2.669, I = 12; hkl 1 2 2, 2θ = 34.5°, d 2.600, I = 25; hkl 2 2 2, 2θ = 37.5°, d 2.396, I = 13; hkl 4 1 1, 2θ = 37.6°, d 2.389, I = 13; hkl 1 1 3, 2θ = 39.0°, d 2.309, I = 11; hkl 3 2 2, 2θ = 42.2°, d 2.141, I = 9

Structure:
Unit cell a=10.677 b=7.717 c=7.455 alpha=90.00 beta=90.00 gamma=90.00
Atoms (fractional coordinates):
Te 0.239 0.250 0.176
Te 0.261 0.750 0.676
Te 0.739 0.250 0.324
Te 0.761 0.750 0.824
Cl 0.025 0.250 0.106
Cl 0.224 0.004 0.433
Cl 0.224 0.496 0.433
Cl 0.276 0.504 0.933
Cl 0.276 0.996 0.933
Cl 0.475 0.750 0.606
Cl 0.525 0.250 0.394
Cl 0.724 0.004 0.067
Cl 0.724 0.496 0.067
Cl 0.776 0.504 0.567
Cl 0.776 0.996 0.567
Cl 0.975 0.750 0.894